1.
Simulated X-ray diffraction stick pattern of Sr2InBr5 for a wavelength of 1.5418 Å, from the PBE geometry in Alexandria.
Lines closer than 0.1° are merged.

Crystal structure
a b c (Å): 9.4153 8.4682 13.5358
angles (deg): 90.00 90.04 90.00
Space group P2_1/c (No. 14)
Asymmetric unit:
Sr1 0.0007 0.0249 0.3214 (multiplicity 4)
Sr2 0.2475 0.5727 0.4948 (multiplicity 4)
In1 0.4912 0.5048 0.1763 (multiplicity 4)
Br1 0.0413 0.1618 0.0998 (multiplicity 4)
Br2 0.2179 0.5460 0.9978 (multiplicity 4)
Br3 0.2186 0.1627 0.8158 (multiplicity 4)
Br4 0.2272 0.6927 0.7162 (multiplicity 4)
Br5 0.4658 0.1562 0.0959 (multiplicity 4)

Most intense lines, 5 to 70 degrees two-theta, low angle first:
d (Å), I_rel
3.516, 44.4
3.143, 43.9
3.066, 47.4
3.040, 48.7
2.854, 100.0
2.763, 33.8
2.748, 51.0
2.393, 25.2
2.354, 37.8
2.262, 36.7

---

2.
Simulated X-ray diffraction stick pattern of Sr3In5Br12 for a wavelength of 1.5418 Å, from the PBE geometry in Alexandria.
Lines closer than 0.1° are merged.

Crystal structure
a b c (Å): 13.3926 13.3926 4.5928
angles (deg): 90.00 90.00 120.00
Space group P-62m (No. 189)
Asymmetric unit:
Sr1 0.0000 0.6792 0.0000 (multiplicity 3)
In1 0.0000 0.2973 0.5000 (multiplicity 3)
In2 0.3333 0.6667 0.5000 (multiplicity 2)
Br1 0.0000 0.5306 0.5000 (multiplicity 3)
Br2 0.0000 0.8291 0.5000 (multiplicity 3)
Br3 0.1893 0.4537 0.0000 (multiplicity 6)

Most intense lines, 5 to 70 degrees two-theta, low angle first:
d (Å), I_rel
3.866, 24.4
3.788, 21.8
3.217, 48.7
3.171, 100.0
2.900, 20.2
2.706, 95.3
2.302, 23.9
2.296, 34.5
2.217, 30.3
1.977, 23.3

---

3.
Simulated X-ray diffraction stick pattern of Sr3InBr7 for a wavelength of 1.5418 Å, from the PBE geometry in Alexandria.
Lines closer than 0.1° are merged.

Crystal structure
a b c (Å): 10.0426 11.2260 7.9800
angles (deg): 90.00 114.30 90.00
Space group C2/m (No. 12)
Asymmetric unit:
Sr1 0.0000 0.0000 0.0000 (multiplicity 2)
Sr2 0.0000 0.2294 0.5000 (multiplicity 4)
In1 0.0000 0.5000 0.0000 (multiplicity 2)
Br1 0.0000 0.5000 0.5000 (multiplicity 2)
Br2 0.1485 0.0000 0.7386 (multiplicity 4)
Br3 0.1597 0.2154 0.2380 (multiplicity 8)

Most intense lines, 5 to 70 degrees two-theta, low angle first:
d (Å), I_rel
4.441, 43.9
3.679, 98.9
2.954, 33.7
2.850, 100.0
2.807, 59.5
2.442, 34.4
2.387, 50.8
2.281, 39.9
2.231, 36.3
1.526, 34.4

---

4.
Simulated X-ray diffraction stick pattern of TaInBr for a wavelength of 1.5418 Å, from the PBE geometry in Alexandria.
Lines closer than 0.1° are merged.

Crystal structure
a b c (Å): 3.1901 3.1901 8.3623
angles (deg): 90.00 90.00 120.00
Space group P3m1 (No. 156)
Asymmetric unit:
Ta1 0.0000 0.0000 0.0000 (multiplicity 1)
In1 0.6667 0.3333 0.7040 (multiplicity 1)
Br1 0.3333 0.6667 0.2262 (multiplicity 1)

Most intense lines, 5 to 70 degrees two-theta, low angle first:
d (Å), I_rel
8.362, 100.0
2.787, 16.1
2.623, 99.6
2.305, 78.4
2.091, 14.3
1.962, 33.3
1.595, 23.6
1.431, 16.2
1.384, 11.3
1.363, 12.8